Starting from a crystal structure in Alexandria, relaxed with GGA+U, the PXRD pattern of NaNiP2O was simulated for Cu Kα (weighted mean of Kα1 and Kα2).
Peak positions follow from Bragg's law for the DFT cell and can differ from measured ones.

Top 10 peaks for 15 to 90 degrees two-theta, low angle first:
2θ 19.17, d 4.629, I = 79, (1 0 0)
2θ 24.02, d 3.705, I = 50, (0 0 1)
2θ 30.92, d 2.892, I = 73, (1 0 1)
2θ 38.91, d 2.314, I = 100, (2 0 0)
2θ 46.25, d 1.963, I = 31, (2 0 1)
2θ 49.19, d 1.852, I = 24, (0 0 2)
2θ 50.51, d 1.807, I = 36, (2 1 1)
2θ 56.21, d 1.637, I = 31, (2 2 0)
2θ 64.43, d 1.446, I = 39, (2 0 2)
2θ 77.89, d 1.226, I = 22, (2 2 2)

Crystal structure
```
NaNiP2O
1.0
4.629 0.000 0.000
0.000 4.629 0.000
0.000 0.000 3.705
Na Ni P O
1 1 2 1
Direct
0.000 0.000 0.000
0.500 0.500 0.500
0.000 0.500 0.500
0.500 0.000 0.500
0.500 0.500 0.000
```